This entry pairs a crystal structure of CsSb2F7 with its theoretical PXRD pattern. Radiation: λ = 1.5418 Å (Cu Kα). Structure: a cell relaxed with GGA-PBE.
Neutral-atom scattering factors, no anomalous dispersion.

Principal peaks in the range 2θ from 15° to 90°, in order of rising 2θ:
- 24.0°, intensity 100
- 24.5°, intensity 85
- 25.7°, intensity 36
- 27.0°, intensity 35
- 31.2°, intensity 19
- 37.6°, intensity 32
- 40.8°, intensity 31
- 44.3°, intensity 19
- 44.6°, intensity 23
- 46.4°, intensity 19

Structure:
Cell: 10.5127 10.5127 5.7410 Å, 91.55 91.55 38.50°
Sites, in units of the cell vectors:
Cs  0.0000  0.5000  0.0000
Cs  0.5000  0.0000  0.5000
Sb  0.1483  0.6857  0.5405
Sb  0.3143  0.8517  0.9595
Sb  0.6857  0.1483  0.0405
Sb  0.8517  0.3143  0.4595
F  0.0808  0.9192  0.7500
F  0.1120  0.1519  0.2994
F  0.1519  0.1120  0.7994
F  0.1552  0.4892  0.4933
F  0.3075  0.5330  0.8299
F  0.4670  0.6925  0.6701
F  0.4892  0.1552  0.9933
F  0.5108  0.8448  0.0067
F  0.5330  0.3075  0.3299
F  0.6925  0.4670  0.1701
F  0.8448  0.5108  0.5067
F  0.8481  0.8880  0.2006
F  0.8880  0.8481  0.7006
F  0.9192  0.0808  0.2500